BaDy2NiO5: computed powder diffraction line list (Cu Kα), based on a DFT-relaxed cell (PBE+U, Alexandria).
Lines closer than 0.1° are merged.

The 8 most intense peaks (10° ≤ 2θ ≤ 90°), by angle:
2θ/deg  I_rel
28.02  39
30.78  31
32.23  100
44.47  15
46.36  15
47.92  14
55.66  22
56.68  16

Atomic structure:
```
BaDy2NiO5
1.0
-1.8985 2.9046 5.7156
1.8985 -2.9046 5.7156
1.8985 2.9046 -5.7156
Ba Dy Ni O
1 2 1 5
direct
0.0000 0.0000 0.0000
0.2967 0.7967 0.5000
0.7033 0.2033 0.5000
0.5000 0.5000 0.0000
0.1100 0.3501 0.7599
0.4099 0.6499 0.7599
0.5000 0.0000 0.5000
0.5901 0.3501 0.2401
0.8900 0.6499 0.2401
```